[1]
The following is a theoretical powder diffractogram of Ce3Th2In. It was derived from a GGA-PBE-relaxed structure, using λ = 1.5418 Å (Cu Kα).
Kinematic intensities with the Lorentz-polarization factor, no thermal factor.

The 12 most intense peaks (10° ≤ 2θ ≤ 80°), by angle:
d_spacing, I/Imax, hkl
2.921, 48, 0 3 1
2.850, 56, 2 0 0
2.673, 89, 1 0 2
2.600, 100, 1 3 1
2.040, 35, 2 3 1
1.726, 18, 0 3 3
1.668, 11, 0 6 0
1.609, 20, 3 0 2
1.593, 23, 3 3 1
1.477, 22, 2 3 3
1.439, 14, 2 6 0
1.415, 23, 1 6 2

```
data_Ce3Th2In
_cell_length_a 5.6992
_cell_length_b 10.0065
_cell_length_c 6.0533
_cell_angle_alpha 90.00
_cell_angle_beta 90.00
_cell_angle_gamma 90.00
_symmetry_space_group_name_H-M 'P m c 21'
_symmetry_Int_Tables_number 26
loop_
_symmetry_equiv_pos_as_xyz
'x,y,z'
'-x,-y,z+1/2'
'-x,y,z'
'x,-y,z+1/2'
loop_
_atom_site_label
_atom_site_fract_x
_atom_site_fract_y
_atom_site_fract_z
Ce1 0.0000 0.0686 0.0000
Ce2 0.0000 0.2351 0.4834
Ce3 0.5000 0.4126 0.2599
Th1 0.0000 0.4181 0.0041
Th2 0.5000 0.2512 0.7765
In1 0.5000 0.0818 0.2947
```


[2]
The following is a theoretical powder diffractogram of Ce2ThIn6. It was derived from a GGA-PBE-relaxed structure, using λ = 1.5418 Å (Cu Kα).
Kinematic intensities with the Lorentz-polarization factor, no thermal factor.

The 12 most intense peaks (10° ≤ 2θ ≤ 80°), by angle:
d_spacing, I/Imax, hkl
7.642, 4, 1 0 0
4.412, 5, 1 1 0
3.590, 2, 0 0 1
2.784, 100, 1 1 1
2.547, 78, 3 0 0
2.077, 2, 3 0 1
1.879, 32, 2 2 1
1.795, 9, 0 0 2
1.512, 31, 4 1 1
1.471, 14, 3 3 0
1.467, 28, 3 0 2
1.274, 9, 6 0 0

```
data_Ce2ThIn6
_cell_length_a 8.8242
_cell_length_b 8.8242
_cell_length_c 3.5896
_cell_angle_alpha 90.00
_cell_angle_beta 90.00
_cell_angle_gamma 120.00
_symmetry_space_group_name_H-M 'P 6/m m m'
_symmetry_Int_Tables_number 191
_symmetry_space_group_name_Hall '-P 6 2'
loop_
_atom_site_label
_atom_site_fract_x
_atom_site_fract_y
_atom_site_fract_z
Ce1 0.3333 0.6667 0.0000
Th1 0.0000 0.0000 0.0000
In1 0.0000 0.3341 0.5000
```


[3]
The following is a theoretical powder diffractogram of Ce4Th2In. It was derived from a GGA-PBE-relaxed structure, using λ = 1.5418 Å (Cu Kα).
Kinematic intensities with the Lorentz-polarization factor, no thermal factor.

The 12 most intense peaks (10° ≤ 2θ ≤ 80°), by angle:
d_spacing, I/Imax, hkl
5.555, 26, 0 2 0
3.110, 40, 1 1 3
2.865, 100, 2 0 2
2.778, 62, 0 4 0
2.546, 74, 2 2 2
2.484, 49, 0 2 4
2.438, 63, 1 3 3
1.994, 17, 2 4 2
1.757, 22, 0 6 2
1.697, 21, 3 3 3
1.620, 50, 2 0 6
1.399, 29, 2 4 6

```
data_Ce4Th2In
_cell_length_a 6.6867
_cell_length_b 11.1103
_cell_length_c 11.1102
_cell_angle_alpha 90.00
_cell_angle_beta 90.00
_cell_angle_gamma 90.00
_symmetry_space_group_name_H-M 'F m m 2'
_symmetry_Int_Tables_number 42
_symmetry_space_group_name_Hall 'F 2 -2'
loop_
_atom_site_label
_atom_site_fract_x
_atom_site_fract_y
_atom_site_fract_z
Ce1 0.0000 0.0000 0.0000
Ce2 0.0000 0.0000 0.3559
Ce3 0.0000 0.1782 0.1778
Th1 0.2500 0.2500 0.4277
In1 0.0000 0.0000 0.6782
```


[4]
The following is a theoretical powder diffractogram of Ce2Th4In. It was derived from a GGA-PBE-relaxed structure, using λ = 1.5418 Å (Cu Kα).
Kinematic intensities with the Lorentz-polarization factor, no thermal factor.

The 12 most intense peaks (10° ≤ 2θ ≤ 80°), by angle:
d_spacing, I/Imax, hkl
3.851, 9, 2 0 0
3.791, 24, 0 2 2
2.788, 14, 1 3 2
2.721, 22, 0 4 0
2.702, 100, 2 2 2
2.643, 27, 0 0 4
1.925, 9, 4 0 0
1.896, 15, 0 4 4
1.716, 10, 0 6 2
1.567, 11, 2 6 2
1.556, 9, 4 0 4
1.537, 18, 2 2 6

```
data_Ce2Th4In
_cell_length_a 7.7015
_cell_length_b 10.8826
_cell_length_c 10.5711
_cell_angle_alpha 90.00
_cell_angle_beta 90.00
_cell_angle_gamma 90.00
_symmetry_space_group_name_H-M 'C c c m'
_symmetry_Int_Tables_number 66
_symmetry_space_group_name_Hall '-C 2 2c'
loop_
_atom_site_label
_atom_site_fract_x
_atom_site_fract_y
_atom_site_fract_z
Ce1 0.0008 0.2019 0.0000
Th1 0.2180 0.5004 0.0000
Th2 0.2500 0.2500 0.2497
In1 0.0000 0.0000 0.2500
```